# K4Co2O5
Calculated powder X-ray diffraction pattern, copper Kα. Input: a cell relaxed with PBE+U.
Lines closer than 0.1° are merged.

Cell and atoms:
Cell: 7.102 7.102 10.402 Å, 90.00 90.00 90.00°
Space group P4_2/mnm (No. 136)
Unique sites:
K 0.000 0.000 0.232 x4
K 0.000 0.500 0.250 x4
Co 0.176 0.176 0.500 x4
O 0.000 0.000 0.500 x2
O 0.242 0.242 0.344 x8

Most intense lines, 2θ from 10° to 80°, in order of rising 2θ:
(hkl)  d/Å  two_theta  I/Imax
1 0 1  5.865  15.11  42
1 1 1  4.523  19.63  100
2 1 0  3.176  28.09  19
1 0 3  3.116  28.65  19
2 0 2  2.933  30.48  63
2 1 2  2.711  33.05  20
0 0 4  2.600  34.49  18
2 2 0  2.511  35.76  45